Structure and computed powder X-ray diffraction pattern of LiCo2P2O8 (a DFT-relaxed cell (GGA+U, Alexandria); λ = 1.5418 Å (Cu Kα)).
Lines closer than 0.1° are merged.

Largest 12 diffraction maxima, by intensity, 10° ≤ 2θ ≤ 90°:
2θ 21.75, I = 100; 2θ 21.64, I = 97; 2θ 35.24, I = 47; 2θ 34.89, I = 47; 2θ 39.68, I = 16; 2θ 43.09, I = 14; 2θ 43.86, I = 12; 2θ 61.57, I = 11; 2θ 55.35, I = 11; 2θ 61.39, I = 10; 2θ 55.69, I = 9; 2θ 54.13, I = 7

Structure:
```
LiCo2P2O8
1.0
3.3887 -3.8606 0.0000
3.3887 3.8606 0.0000
-0.0490 0.0000 6.8949
Li Co P O
1 2 2 8
direct
0.0000 0.0000 0.0000
0.4817 0.5183 0.0000
0.9934 0.0066 0.5000
0.4924 0.0106 0.7504
0.9894 0.5076 0.2496
0.2831 0.6142 0.2047
0.3694 0.0914 0.5627
0.3858 0.7169 0.7953
0.3941 0.1638 0.9308
0.7962 0.0543 0.7481
0.8362 0.6059 0.0692
0.9086 0.6306 0.4373
0.9457 0.2038 0.2519
```